The following is a simulated powder diffractogram of Li2MnF4. It was derived from DFT lattice parameters and positions (GGA+U), using Cu Kα X-rays.
Lines closer than 0.1° are merged.

Structure:
Cell: 5.7732 5.7732 5.7732 Å, 110.33 110.23 107.87°
Element x y z (fractional)
Li (0.2271, 0.0000, 0.2271)
Li (0.2500, 0.5229, 0.2729)
Li (0.2500, 0.9771, 0.7271)
Li (0.7729, 0.0000, 0.7729)
Mn (0.5970, 0.5970, 0.0000)
Mn (0.8459, 0.3459, 0.5000)
F (0.0148, 0.7207, 0.2941)
F (0.1058, 0.2960, 0.8098)
F (0.4266, 0.7207, 0.7059)
F (0.4862, 0.2960, 0.1902)
F (0.5461, 0.2364, 0.6902)
F (0.5461, 0.8559, 0.3098)
F (0.9703, 0.1763, 0.2060)
F (0.9703, 0.7643, 0.7940)

Principal peaks in the range 2θ from 10° to 80°, by intensity:
- 18.7°, intensity 100
- 27.0°, intensity 86
- 42.2°, intensity 64
- 43.2°, intensity 58
- 51.7°, intensity 55
- 51.4°, intensity 50
- 32.6°, intensity 49
- 38.0°, intensity 43
- 33.1°, intensity 32
- 55.7°, intensity 29